This entry pairs a crystal structure of CaRh2O4 with its calculated powder diffractogram. Radiation: CuKα. Structure: a DFT-relaxed cell (PBE, the Materials Project).
Neutral-atom scattering factors, no anomalous dispersion.

Structural model:
Lattice parameters (Å, degrees): 9.1408 3.1630 10.9090 90.00 90.00 90.00
Fractional coordinates of all 28 atoms:
Ca (0.2337, 0.2500, 0.1606)
Ca (0.2663, 0.7500, 0.6606)
Ca (0.7337, 0.2500, 0.3394)
Ca (0.7663, 0.7500, 0.8394)
Rh (0.0524, 0.2500, 0.3833)
Rh (0.0924, 0.2500, 0.9018)
Rh (0.4076, 0.7500, 0.4018)
Rh (0.4476, 0.7500, 0.8833)
Rh (0.5524, 0.2500, 0.1167)
Rh (0.5924, 0.2500, 0.5982)
Rh (0.9076, 0.7500, 0.0982)
Rh (0.9476, 0.7500, 0.6167)
O (0.0471, 0.7500, 0.7875)
O (0.0881, 0.2500, 0.5726)
O (0.1176, 0.7500, 0.0280)
O (0.1918, 0.7500, 0.3316)
O (0.3082, 0.2500, 0.8316)
O (0.3824, 0.2500, 0.5280)
O (0.4119, 0.7500, 0.0726)
O (0.4529, 0.2500, 0.2875)
O (0.5471, 0.7500, 0.7125)
O (0.5881, 0.2500, 0.9274)
O (0.6176, 0.7500, 0.4720)
O (0.6918, 0.7500, 0.1684)
O (0.8082, 0.2500, 0.6684)
O (0.8824, 0.2500, 0.9720)
O (0.9119, 0.7500, 0.4274)
O (0.9529, 0.2500, 0.2125)

Largest 10 diffraction maxima, in order of falling intensity, 10 to 90 degrees two-theta:
index	d_spacing	I/Imax
1 1 2	2.621	100
3 0 2	2.660	85
0 0 4	2.727	45
2 1 4	1.882	43
2 1 0	2.601	42
2 0 0	4.570	37
1 0 2	4.684	26
4 1 4	1.532	21
4 1 0	1.852	21
3 2 2	1.359	21

This entry pairs a crystal structure of CaRuO3 with its calculated powder diffractogram. Radiation: CuKα. Structure: a DFT-relaxed cell (PBE, the Materials Project).
Neutral-atom scattering factors, no anomalous dispersion.

Structural model:
Lattice parameters (Å, degrees): 5.5940 7.7482 5.4289 90.00 90.00 90.00
Fractional coordinates of all 20 atoms:
Ca (0.0572, 0.2500, 0.0143)
Ca (0.4428, 0.7500, 0.5143)
Ca (0.5572, 0.2500, 0.4857)
Ca (0.9428, 0.7500, 0.9857)
Ru (0.0000, 0.0000, 0.5000)
Ru (0.0000, 0.5000, 0.5000)
Ru (0.5000, 0.0000, 0.0000)
Ru (0.5000, 0.5000, 0.0000)
O (0.0272, 0.7500, 0.4040)
O (0.2014, 0.5493, 0.8034)
O (0.2014, 0.9507, 0.8034)
O (0.2986, 0.0493, 0.3034)
O (0.2986, 0.4507, 0.3034)
O (0.4728, 0.2500, 0.9040)
O (0.5272, 0.7500, 0.0960)
O (0.7014, 0.5493, 0.6966)
O (0.7014, 0.9507, 0.6966)
O (0.7986, 0.0493, 0.1966)
O (0.7986, 0.4507, 0.1966)
O (0.9728, 0.2500, 0.5960)

Largest 10 diffraction maxima, in order of falling intensity, 10 to 90 degrees two-theta:
index	d_spacing	I/Imax
1 2 1	2.747	100
1 0 1	3.896	43
2 0 2	1.948	28
2 0 0	2.797	25
1 2 3	1.573	25
0 0 2	2.714	23
0 2 0	3.874	20
3 2 1	1.605	17
0 4 0	1.937	16
2 4 2	1.374	14

This entry pairs a crystal structure of CaRuO3 with its calculated powder diffractogram. Radiation: CuKα. Structure: a DFT-relaxed cell (PBE, the Materials Project).
Neutral-atom scattering factors, no anomalous dispersion.

Structural model:
Lattice parameters (Å, degrees): 3.9295 3.9295 3.9295 90.00 90.00 90.00
Fractional coordinates of all 5 atoms:
Ca (0.0000, 0.0000, 0.0000)
Ru (0.5000, 0.5000, 0.5000)
O (0.0000, 0.5000, 0.5000)
O (0.5000, 0.0000, 0.5000)
O (0.5000, 0.5000, 0.0000)

Largest 10 diffraction maxima, in order of falling intensity, 10 to 90 degrees two-theta:
index	d_spacing	I/Imax
1 1 0	2.779	100
1 0 0	3.930	46
2 0 0	1.965	39
2 1 1	1.604	38
2 2 0	1.389	22
2 1 0	1.757	18
3 1 0	1.243	16
3 0 0	1.310	8
2 2 2	1.134	7
3 1 1	1.185	1